# 1
NaTiF4: theoretical XRD peak list (Cu Kα), based on a DFT-relaxed cell (PBE, Alexandria).
Intensities are scaled so that the largest is 100.

Largest 10 diffraction maxima, sorted by position, 10° ≤ 2θ ≤ 90°:
2theta, d_spacing, Rel. int.
15.89, 5.576, 44
24.58, 3.622, 100
28.27, 3.157, 56
36.38, 2.470, 14
36.80, 2.443, 24
48.23, 1.887, 22
48.56, 1.875, 18
50.13, 1.820, 19
50.39, 1.811, 19
53.86, 1.702, 19

Crystal structure
a b c (Å): 5.065 5.849 11.152
angles (deg): 90.00 90.00 90.00
Positions (direct):
Na  0.000  0.000  0.000
Na  0.000  0.000  0.500
Na  0.500  0.500  0.000
Na  0.500  0.500  0.500
Ti  0.000  0.340  0.250
Ti  0.000  0.660  0.750
Ti  0.500  0.160  0.750
Ti  0.500  0.840  0.250
F  0.167  0.319  0.097
F  0.167  0.681  0.597
F  0.245  0.082  0.308
F  0.245  0.918  0.808
F  0.255  0.418  0.808
F  0.255  0.582  0.308
F  0.333  0.181  0.597
F  0.333  0.819  0.097
F  0.667  0.181  0.903
F  0.667  0.819  0.403
F  0.745  0.418  0.692
F  0.745  0.582  0.192
F  0.755  0.082  0.192
F  0.755  0.918  0.692
F  0.833  0.319  0.403
F  0.833  0.681  0.903

---

# 2
AcAlNi4: theoretical XRD peak list (Cu Kα), based on a DFT-relaxed cell (PBE, Alexandria).
Intensities are scaled so that the largest is 100.

Largest 10 diffraction maxima, sorted by position, 10° ≤ 2θ ≤ 90°:
2theta, d_spacing, Rel. int.
17.33, 5.116, 69
27.04, 3.298, 71
29.04, 3.075, 80
34.59, 2.593, 43
35.86, 2.504, 100
36.68, 2.450, 87
40.40, 2.233, 43
42.43, 2.130, 87
47.24, 1.924, 47
51.87, 1.763, 49

Crystal structure
a b c (Å): 7.019 3.848 7.472
angles (deg): 90.00 90.00 90.00
Positions (direct):
Ac  0.250  0.000  0.144
Ac  0.750  0.000  0.856
Al  0.250  0.000  0.706
Al  0.750  0.000  0.294
Ni  0.000  0.000  0.500
Ni  0.051  0.500  0.724
Ni  0.250  0.500  0.456
Ni  0.449  0.500  0.724
Ni  0.500  0.000  0.500
Ni  0.551  0.500  0.276
Ni  0.750  0.500  0.544
Ni  0.949  0.500  0.276

---

# 3
Mn8Nb3W: theoretical XRD peak list (Cu Kα), based on a DFT-relaxed cell (PBE, Alexandria).
Intensities are scaled so that the largest is 100.

Largest 10 diffraction maxima, sorted by position, 10° ≤ 2θ ≤ 90°:
2theta, d_spacing, Rel. int.
24.24, 3.672, 14
37.52, 2.397, 57
40.68, 2.218, 96
43.60, 2.076, 15
44.24, 2.047, 100
45.17, 2.007, 62
69.84, 1.347, 34
72.38, 1.306, 22
75.85, 1.254, 27
80.07, 1.199, 22

Crystal structure
a b c (Å): 4.794 4.794 7.870
angles (deg): 90.00 90.00 120.00
Positions (direct):
Mn  0.000  0.000  0.000
Mn  0.000  0.000  0.497
Mn  0.172  0.343  0.247
Mn  0.172  0.828  0.247
Mn  0.343  0.172  0.751
Mn  0.657  0.828  0.247
Mn  0.828  0.172  0.751
Mn  0.828  0.657  0.751
Nb  0.333  0.667  0.563
Nb  0.333  0.667  0.939
Nb  0.667  0.333  0.434
W  0.667  0.333  0.061

---

# 4
SmEr6Al2: theoretical XRD peak list (Cu Kα), based on a DFT-relaxed cell (PBE, Alexandria).
Intensities are scaled so that the largest is 100.

Largest 10 diffraction maxima, sorted by position, 10° ≤ 2θ ≤ 90°:
2theta, d_spacing, Rel. int.
26.08, 3.416, 18
27.53, 3.240, 17
31.04, 2.881, 14
32.34, 2.768, 100
33.51, 2.675, 90
33.67, 2.662, 93
50.01, 1.824, 17
58.33, 1.582, 21
58.66, 1.574, 28
60.83, 1.523, 30

Crystal structure
a b c (Å): 6.475 6.475 11.682
angles (deg): 107.48 107.48 32.72
Positions (direct):
Sm  0.000  0.000  0.000
Er  0.019  0.019  0.335
Er  0.310  0.310  0.414
Er  0.311  0.311  0.126
Er  0.689  0.689  0.874
Er  0.690  0.690  0.586
Er  0.981  0.981  0.665
Al  0.351  0.351  0.788
Al  0.649  0.649  0.212

---

# 5
Sc3AlTl3Se8: theoretical XRD peak list (Cu Kα), based on a DFT-relaxed cell (PBE, Alexandria).
Intensities are scaled so that the largest is 100.

Largest 10 diffraction maxima, sorted by position, 10° ≤ 2θ ≤ 90°:
2theta, d_spacing, Rel. int.
13.62, 6.501, 17
15.18, 5.837, 14
26.58, 3.353, 21
30.63, 2.919, 100
32.84, 2.727, 30
35.18, 2.551, 15
41.21, 2.190, 32
46.40, 1.957, 35
56.63, 1.625, 17
59.54, 1.553, 18

Crystal structure
a b c (Å): 7.826 7.826 8.883
angles (deg): 116.06 116.06 60.05
Positions (direct):
Sc  0.000  0.000  0.000
Sc  0.000  0.500  0.000
Sc  0.500  0.000  0.000
Al  0.500  0.500  0.000
Tl  0.000  0.500  0.500
Tl  0.500  0.000  0.500
Tl  0.500  0.500  0.500
Se  0.232  0.232  0.198
Se  0.243  0.723  0.190
Se  0.277  0.277  0.810
Se  0.277  0.757  0.810
Se  0.723  0.243  0.190
Se  0.723  0.723  0.190
Se  0.757  0.277  0.810
Se  0.768  0.768  0.802

---

# 6
Lu2Si9B36C: theoretical XRD peak list (Cu Kα), based on a DFT-relaxed cell (PBE, Alexandria).
Intensities are scaled so that the largest is 100.

Largest 10 diffraction maxima, sorted by position, 10° ≤ 2θ ≤ 90°:
2theta, d_spacing, Rel. int.
11.50, 7.698, 100
14.74, 6.009, 57
17.55, 5.052, 44
21.04, 4.223, 42
23.00, 3.867, 46
23.91, 3.722, 89
29.79, 2.999, 64
34.79, 2.579, 38
35.59, 2.522, 48
39.25, 2.295, 48

Crystal structure
a b c (Å): 8.024 8.024 7.985
angles (deg): 101.93 101.93 78.04
Positions (direct):
Lu  0.249  0.751  0.000
Lu  0.751  0.249  0.000
Si  0.205  0.205  0.543
Si  0.514  0.514  0.842
Si  0.517  0.904  0.245
Si  0.594  0.985  0.755
Si  0.682  0.682  0.071
Si  0.824  0.824  0.926
Si  0.904  0.517  0.245
Si  0.985  0.594  0.755
Si  0.988  0.988  0.162
B  0.049  0.876  0.519
B  0.052  0.233  0.875
B  0.074  0.361  0.090
B  0.075  0.661  0.393
B  0.129  0.129  0.065
B  0.129  0.687  0.623
B  0.141  0.431  0.919
B  0.143  0.829  0.323
B  0.232  0.875  0.698
B  0.233  0.052  0.875
B  0.244  0.953  0.506
B  0.245  0.245  0.796
B  0.268  0.268  0.226
B  0.268  0.527  0.483
B  0.271  0.452  0.129
B  0.272  0.622  0.299
B  0.359  0.662  0.672
B  0.361  0.074  0.090
B  0.376  0.376  0.945
B  0.376  0.804  0.374
B  0.431  0.141  0.919
B  0.431  0.830  0.607
B  0.452  0.271  0.129
B  0.454  0.622  0.477
B  0.527  0.268  0.483
B  0.622  0.272  0.299
B  0.622  0.454  0.477
B  0.661  0.075  0.393
B  0.662  0.359  0.672
B  0.687  0.129  0.623
B  0.804  0.376  0.374
B  0.829  0.143  0.323
B  0.830  0.431  0.607
B  0.875  0.232  0.698
B  0.876  0.049  0.519
B  0.953  0.244  0.506
C  0.318  0.318  0.434

---

# 7
Ba6In2NF: theoretical XRD peak list (Cu Kα), based on a DFT-relaxed cell (PBE, Alexandria).
Intensities are scaled so that the largest is 100.

Largest 10 diffraction maxima, sorted by position, 10° ≤ 2θ ≤ 90°:
2theta, d_spacing, Rel. int.
27.41, 3.254, 100
31.75, 2.818, 58
41.63, 2.170, 1
45.52, 1.993, 42
53.95, 1.699, 44
56.56, 1.627, 14
66.33, 1.409, 7
73.19, 1.293, 18
75.42, 1.260, 18
84.14, 1.151, 13

Crystal structure
a b c (Å): 7.971 7.971 7.971
angles (deg): 60.00 60.00 60.00
Positions (direct):
Ba  0.242  0.242  0.758
Ba  0.242  0.758  0.242
Ba  0.242  0.758  0.758
Ba  0.758  0.242  0.242
Ba  0.758  0.242  0.758
Ba  0.758  0.758  0.242
In  0.250  0.250  0.250
In  0.750  0.750  0.750
N  0.000  0.000  0.000
F  0.500  0.500  0.500

---

# 8
Na2Hg7: theoretical XRD peak list (Cu Kα), based on a DFT-relaxed cell (PBE, Alexandria).
Intensities are scaled so that the largest is 100.

Largest 10 diffraction maxima, sorted by position, 10° ≤ 2θ ≤ 90°:
2theta, d_spacing, Rel. int.
17.06, 5.196, 92
32.66, 2.742, 47
33.92, 2.643, 100
35.37, 2.538, 23
36.68, 2.450, 21
37.38, 2.406, 70
39.01, 2.309, 41
55.35, 1.660, 25
61.48, 1.508, 29
71.37, 1.322, 31

Crystal structure
a b c (Å): 16.818 16.818 16.818
angles (deg): 20.67 20.67 20.67
Positions (direct):
Na  0.043  0.043  0.043
Na  0.149  0.149  0.149
Na  0.851  0.851  0.851
Na  0.957  0.957  0.957
Hg  0.000  0.500  0.500
Hg  0.110  0.617  0.617
Hg  0.276  0.276  0.276
Hg  0.383  0.383  0.890
Hg  0.383  0.890  0.383
Hg  0.392  0.392  0.392
Hg  0.500  0.000  0.500
Hg  0.500  0.500  0.000
Hg  0.500  0.500  0.500
Hg  0.608  0.608  0.608
Hg  0.617  0.110  0.617
Hg  0.617  0.617  0.110
Hg  0.724  0.724  0.724
Hg  0.890  0.383  0.383

---

# 9
Co6Re7: theoretical XRD peak list (Cu Kα), based on a DFT-relaxed cell (PBE, Alexandria).
Intensities are scaled so that the largest is 100.

Largest 10 diffraction maxima, sorted by position, 10° ≤ 2θ ≤ 90°:
2theta, d_spacing, Rel. int.
20.64, 4.304, 39
20.82, 4.267, 50
41.57, 2.172, 100
41.98, 2.152, 27
42.37, 2.133, 29
44.09, 2.054, 24
45.15, 2.008, 58
48.57, 1.875, 42
75.42, 1.260, 24
76.93, 1.239, 23

Crystal structure
a b c (Å): 9.017 9.017 9.017
angles (deg): 32.47 32.47 32.47
Positions (direct):
Co  0.046  0.046  0.046
Co  0.150  0.150  0.150
Co  0.336  0.336  0.336
Co  0.664  0.664  0.664
Co  0.850  0.850  0.850
Co  0.954  0.954  0.954
Re  0.078  0.588  0.588
Re  0.412  0.412  0.922
Re  0.412  0.922  0.412
Re  0.500  0.500  0.500
Re  0.588  0.078  0.588
Re  0.588  0.588  0.078
Re  0.922  0.412  0.412

---

# 10
ErCdAs2Rh5: theoretical XRD peak list (Cu Kα), based on a DFT-relaxed cell (PBE, Alexandria).
Intensities are scaled so that the largest is 100.

Largest 10 diffraction maxima, sorted by position, 10° ≤ 2θ ≤ 90°:
2theta, d_spacing, Rel. int.
29.79, 2.999, 15
36.80, 2.442, 100
38.14, 2.360, 15
42.28, 2.137, 10
42.99, 2.104, 54
44.00, 2.058, 17
61.88, 1.499, 13
62.42, 1.488, 17
73.72, 1.285, 12
74.72, 1.270, 24

Crystal structure
a b c (Å): 4.208 4.208 8.550
angles (deg): 90.00 90.00 90.00
Positions (direct):
Er  0.000  0.000  0.000
Cd  0.000  0.000  0.500
As  0.500  0.500  0.146
As  0.500  0.500  0.854
Rh  0.000  0.500  0.276
Rh  0.000  0.500  0.724
Rh  0.500  0.000  0.276
Rh  0.500  0.000  0.724
Rh  0.500  0.500  0.500

---

# 11
ScRe4: theoretical XRD peak list (Cu Kα), based on a DFT-relaxed cell (PBE, Alexandria).
Intensities are scaled so that the largest is 100.

Largest 10 diffraction maxima, sorted by position, 10° ≤ 2θ ≤ 90°:
2theta, d_spacing, Rel. int.
20.63, 4.305, 9
25.24, 3.529, 18
39.08, 2.305, 100
41.72, 2.165, 23
47.21, 1.925, 28
49.61, 1.838, 10
64.80, 1.439, 22
74.39, 1.275, 15
82.24, 1.172, 22
83.96, 1.153, 10

Crystal structure
a b c (Å): 4.819 4.819 4.819
angles (deg): 101.64 101.64 126.61
Positions (direct):
Sc  0.000  0.000  0.000
Re  0.204  0.430  0.634
Re  0.430  0.796  0.227
Re  0.570  0.204  0.773
Re  0.796  0.570  0.366

---

# 12
AcTbGe4: theoretical XRD peak list (Cu Kα), based on a DFT-relaxed cell (PBE, Alexandria).
Intensities are scaled so that the largest is 100.

Largest 10 diffraction maxima, sorted by position, 10° ≤ 2θ ≤ 90°:
2theta, d_spacing, Rel. int.
23.11, 3.849, 26
28.27, 3.157, 18
29.17, 3.062, 16
31.36, 2.853, 100
34.58, 2.594, 19
34.94, 2.568, 19
37.49, 2.399, 17
42.54, 2.125, 33
47.86, 1.901, 13
66.72, 1.402, 12

Crystal structure
a b c (Å): 7.881 17.655 4.251
angles (deg): 90.00 90.00 90.00
Positions (direct):
Ac  0.138  0.166  0.000
Ac  0.362  0.666  0.000
Ac  0.638  0.334  0.000
Ac  0.862  0.834  0.000
Tb  0.139  0.414  0.000
Tb  0.361  0.914  0.000
Tb  0.639  0.086  0.000
Tb  0.861  0.586  0.000
Ge  0.024  0.684  0.500
Ge  0.091  0.938  0.500
Ge  0.152  0.539  0.500
Ge  0.204  0.802  0.500
Ge  0.296  0.302  0.500
Ge  0.348  0.039  0.500
Ge  0.409  0.438  0.500
Ge  0.476  0.184  0.500
Ge  0.524  0.816  0.500
Ge  0.591  0.562  0.500
Ge  0.652  0.961  0.500
Ge  0.704  0.698  0.500
Ge  0.796  0.198  0.500
Ge  0.848  0.461  0.500
Ge  0.909  0.062  0.500
Ge  0.976  0.316  0.500